Structure and calculated PXRD pattern of RbBa4Cd5 (a DFT-relaxed cell (GGA-PBE, Alexandria); Cu Kα (λ = 1.5418 Å)).
Neutral-atom scattering factors, no anomalous dispersion.

Crystal structure
```
RbBa4Cd5
1.0
4.247 0.000 0.000
0.000 4.247 0.000
0.000 0.000 22.084
Rb Ba Cd
1 4 5
Direct
0.000 0.000 0.000
0.000 0.000 0.208
0.000 0.000 0.403
0.000 0.000 0.597
0.000 0.000 0.792
0.500 0.500 0.115
0.500 0.500 0.304
0.500 0.500 0.500
0.500 0.500 0.696
0.500 0.500 0.885
```

Most intense lines, 5° ≤ 2θ ≤ 70°, by angle:
2θ/deg, Rel. int., index
29.17, 100, 1 0 5
29.75, 51, 1 1 0
40.86, 8, 0 0 10
42.57, 19, 2 0 0
51.36, 17, 1 1 10
52.44, 38, 2 1 5
60.48, 10, 2 0 10
61.78, 6, 2 2 0
67.31, 6, 1 0 15
69.76, 8, 3 0 5